(1)
Starting from a crystal structure in Alexandria, relaxed with GGA-PBE, the X-ray powder pattern of NaTi4O8 was computed for Cu Kα.

Cell and atoms:
```
data_NaTi4O8
_chemical_formula_sum 'Na2 Ti8 O16'
_cell_length_a 14.430
_cell_length_b 2.989
_cell_length_c 9.979
_cell_angle_alpha 90.00
_cell_angle_beta 133.33
_cell_angle_gamma 90.00
_space_group_name_H-M_alt 'C 1 m 1'
_space_group_IT_number 8
loop_
_space_group_symop_operation_xyz
'x,y,z'
'x,-y,z'
'x+1/2,y+1/2,z'
'x+1/2,-y+1/2,z'
loop_
_atom_site_label
_atom_site_fract_x
_atom_site_fract_y
_atom_site_fract_z
Na1 0.000 0.000 0.000
Ti1 0.236 0.000 0.573
Ti2 0.250 0.500 0.916
Ti3 0.426 0.000 0.281
Ti4 0.442 0.500 0.621
O1 0.052 0.000 0.385
O2 0.129 0.000 0.818
O3 0.249 0.500 0.719
O4 0.253 0.500 0.461
O5 0.302 0.500 0.158
O6 0.385 0.000 0.042
O7 0.433 0.000 0.751
O8 0.437 0.000 0.487
```

Principal peaks in the range 10° ≤ 2θ ≤ 90°, most intense first:
index	d/Å	Rel. int.
0 0 1	7.233	100
2 0 0	5.248	54
2 0 -2	4.989	53
1 1 1	2.513	52
3 1 -2	2.491	49
2 0 -3	3.178	40
4 0 -1	3.294	30
4 0 0	2.624	29
3 1 -3	2.223	25
5 1 -4	1.882	22

***

(2)
Starting from a crystal structure in Alexandria, relaxed with GGA-PBE, the X-ray powder pattern of Na6Ti2O7 was computed for Cu Kα.

Cell and atoms:
```
data_Na6Ti2O7
_chemical_formula_sum 'Na12 Ti4 O14'
_cell_length_a 5.994
_cell_length_b 8.662
_cell_length_c 10.877
_cell_angle_alpha 90.00
_cell_angle_beta 123.16
_cell_angle_gamma 90.00
_space_group_name_H-M_alt 'P 1 c 1'
_space_group_IT_number 7
loop_
_space_group_symop_operation_xyz
'x,y,z'
'x,-y,z+1/2'
loop_
_atom_site_label
_atom_site_fract_x
_atom_site_fract_y
_atom_site_fract_z
Na1 0.000 0.061 0.000
Na2 0.127 0.288 0.517
Na3 0.305 0.087 0.806
Na4 0.505 0.415 0.282
Na5 0.684 0.213 0.571
Na6 0.811 0.438 0.088
Ti1 0.188 0.406 0.904
Ti2 0.622 0.094 0.184
O1 0.096 0.349 0.721
O2 0.402 0.426 0.461
O3 0.404 0.248 0.042
O4 0.410 0.075 0.629
O5 0.714 0.153 0.366
O6 0.901 0.450 0.910
O7 0.909 0.048 0.177
```

Principal peaks in the range 10° ≤ 2θ ≤ 90°, most intense first:
index	d/Å	Rel. int.
1 1 -1	4.929	100
0 1 2	4.030	95
0 2 0	4.335	95
1 3 1	2.261	85
1 1 -4	2.580	80
2 2 -1	2.381	62
1 2 -3	2.778	49
1 0 2	2.712	48
0 3 1	2.752	44
1 0 -2	4.997	36

***

(3)
Starting from a crystal structure in Alexandria, relaxed with GGA-PBE, the X-ray powder pattern of Na5Ti12O24 was computed for Cu Kα.

Cell and atoms:
```
data_Na5Ti12O24
_chemical_formula_sum 'Na5 Ti12 O24'
_cell_length_a 5.469
_cell_length_b 8.962
_cell_length_c 9.528
_cell_angle_alpha 90.00
_cell_angle_beta 90.25
_cell_angle_gamma 90.00
_space_group_name_H-M_alt 'P 1 m 1'
_space_group_IT_number 6
loop_
_space_group_symop_operation_xyz
'x,y,z'
'x,-y,z'
loop_
_atom_site_label
_atom_site_fract_x
_atom_site_fract_y
_atom_site_fract_z
Na1 0.000 0.000 0.000
Na2 0.017 0.333 0.035
Na3 0.456 0.000 0.535
Na4 0.514 0.500 0.552
Ti1 0.480 0.500 0.197
Ti2 0.481 0.167 0.193
Ti3 0.488 0.000 0.898
Ti4 0.492 0.330 0.903
Ti5 0.980 0.000 0.400
Ti6 0.982 0.327 0.404
Ti7 0.986 0.175 0.688
Ti8 0.989 0.500 0.695
O1 0.135 0.500 0.502
O2 0.162 0.172 0.504
O3 0.204 0.334 0.769
O4 0.218 0.000 0.764
O5 0.250 0.334 0.261
O6 0.267 0.000 0.272
O7 0.310 0.165 0.004
O8 0.313 0.500 0.002
O9 0.646 0.333 0.094
O10 0.648 0.000 0.097
O11 0.710 0.500 0.830
O12 0.726 0.165 0.840
O13 0.751 0.500 0.333
O14 0.761 0.166 0.331
O15 0.804 0.328 0.593
O16 0.831 0.000 0.596
```

Principal peaks in the range 10° ≤ 2θ ≤ 90°, most intense first:
index	d/Å	Rel. int.
1 3 1	2.529	100
1 0 -1	4.752	71
1 0 1	4.734	70
1 0 3	2.739	68
1 0 -3	2.752	49
2 3 2	1.855	40
2 3 -2	1.860	40
1 3 -5	1.543	25
1 3 5	1.540	20
0 6 0	1.494	19

***

(4)
Starting from a crystal structure in Alexandria, relaxed with GGA-PBE, the X-ray powder pattern of Na4Ti5O12 was computed for Cu Kα.

Cell and atoms:
```
data_Na4Ti5O12
_chemical_formula_sum 'Na16 Ti20 O48'
_cell_length_a 8.709
_cell_length_b 8.928
_cell_length_c 14.044
_cell_angle_alpha 90.00
_cell_angle_beta 105.39
_cell_angle_gamma 90.00
_space_group_name_H-M_alt 'C 1 2/c 1'
_space_group_IT_number 15
loop_
_space_group_symop_operation_xyz
'x,y,z'
'-x,-y,-z'
'-x,y,-z+1/2'
'x,-y,z+1/2'
'x+1/2,y+1/2,z'
'-x+1/2,-y+1/2,-z'
'-x+1/2,y+1/2,-z+1/2'
'x+1/2,-y+1/2,z+1/2'
loop_
_atom_site_label
_atom_site_fract_x
_atom_site_fract_y
_atom_site_fract_z
Na1 0.000 0.000 0.000
Na2 0.000 0.102 0.250
Na3 0.175 0.369 0.079
Ti1 0.102 0.262 0.663
Ti2 0.157 0.500 0.333
Ti3 0.250 0.250 0.500
O1 0.036 0.252 0.526
O2 0.073 0.499 0.182
O3 0.130 0.058 0.682
O4 0.143 0.293 0.823
O5 0.188 0.228 0.353
O6 0.229 0.466 0.471
```

Principal peaks in the range 10° ≤ 2θ ≤ 90°, most intense first:
index	d/Å	Rel. int.
1 1 1	5.209	100
1 3 -2	2.674	72
1 1 -2	5.050	39
3 1 -3	2.606	36
0 0 6	2.257	29
1 3 1	2.700	27
4 0 -2	2.175	26
0 4 6	1.587	26
0 4 0	2.232	26
4 4 -2	1.558	25

***

(5)
Starting from a crystal structure in Alexandria, relaxed with GGA-PBE, the X-ray powder pattern of Na4Ti5O12 was computed for Cu Kα.

Cell and atoms:
```
data_Na4Ti5O12
_chemical_formula_sum 'Na4 Ti5 O12'
_cell_length_a 5.3727
_cell_length_b 5.3727
_cell_length_c 9.6454
_cell_angle_alpha 90.00
_cell_angle_beta 90.00
_cell_angle_gamma 120.00
_space_group_name_H-M_alt 'P -3'
_space_group_IT_number 147
loop_
_space_group_symop_operation_xyz
'x,y,z'
'-x,-y,-z'
'-y,x-y,z'
'y,-x+y,-z'
'-x+y,-x,z'
'x-y,x,-z'
loop_
_atom_site_label
_atom_site_fract_x
_atom_site_fract_y
_atom_site_fract_z
Na1 0.0000 0.0000 0.1876
Na2 0.3333 0.6667 0.6037
Ti1 0.0000 0.0000 0.5000
Ti2 0.3333 0.6667 0.2831
Ti3 0.3333 0.6667 0.9719
O1 0.0154 0.5837 0.1224
O2 0.1008 0.3322 0.3789
```

Principal peaks in the range 10° ≤ 2θ ≤ 90°, most intense first:
index	d/Å	Rel. int.
0 1 3	2.645	100
1 0 1	4.191	97
1 1 0	2.686	95
2 0 3	1.885	89
1 2 3	1.543	44
1 1 4	1.794	35
3 0 0	1.551	31
1 1 2	2.347	23
0 2 6	1.322	23
2 2 0	1.343	21